No. 1
Theoretical powder XRD pattern
Compound: Pr4Gd2N
Radiation: Cu Ka
Structure: a crystal structure in Alexandria, relaxed with GGA-PBE
Lines closer than 0.1° are merged.

The 6 most intense peaks (10 to 90 degrees two-theta), in order of falling intensity:
(1 1 4), 32.17 deg, 2.783 Å, rel. 100
(1 1 2), 26.90 deg, 3.315 Å, rel. 66
(2 0 0), 35.53 deg, 2.527 Å, rel. 60
(2 0 6), 47.32 deg, 1.921 Å, rel. 36
(0 0 6), 30.22 deg, 2.957 Å, rel. 31
(3 1 4), 61.70 deg, 1.503 Å, rel. 31

Crystal structure
```
data_Pr4Gd2N
_cell_length_a 5.0535
_cell_length_b 5.0535
_cell_length_c 17.7421
_cell_angle_alpha 90.00
_cell_angle_beta 90.00
_cell_angle_gamma 90.00
_space_group_name_H-M_alt 'I 4/m m m'
_space_group_IT_number 139
_space_group_name_Hall '-I 4 2'
loop_
_atom_site_label
_atom_site_type_symbol
_atom_site_fract_x
_atom_site_fract_y
_atom_site_fract_z
Pr1 Pr 0.0000 0.0000 0.1376
Pr2 Pr 0.0000 0.5000 0.0000
Gd1 Gd 0.0000 0.0000 0.3363
N1 N 0.0000 0.0000 0.0000
```

No. 2
Theoretical powder XRD pattern
Compound: Na3GdTi2Nb2O12
Radiation: Cu Ka
Structure: a crystal structure in Alexandria, relaxed with GGA-PBE
Lines closer than 0.1° are merged.

The 6 most intense peaks (10 to 90 degrees two-theta), in order of falling intensity:
(1 1 -2), 32.47 deg, 2.757 Å, rel. 100
(-1 1 2), 32.32 deg, 2.770 Å, rel. 98
(0 2 0), 31.90 deg, 2.805 Å, rel. 54
(0 0 1), 11.36 deg, 7.791 Å, rel. 49
(2 0 0), 32.67 deg, 2.741 Å, rel. 48
(0 1 -1), 19.50 deg, 4.553 Å, rel. 47

Crystal structure
```
data_Na3GdTi2Nb2O12
_cell_length_a 5.4825
_cell_length_b 5.6109
_cell_length_c 7.7907
_cell_angle_alpha 90.01
_cell_angle_beta 90.10
_cell_angle_gamma 90.51
_space_group_name_H-M_alt 'P 1'
_space_group_IT_number 1
_space_group_name_Hall 'P 1'
loop_
_atom_site_label
_atom_site_type_symbol
_atom_site_fract_x
_atom_site_fract_y
_atom_site_fract_z
Na1 Na 0.0000 0.0000 0.0000
Na2 Na 0.0089 0.0564 0.4973
Na3 Na 0.4886 0.5241 0.9951
Gd1 Gd 0.4899 0.5777 0.4972
Ti1 Ti 0.5062 0.0427 0.2512
Ti2 Ti 0.9880 0.5372 0.7407
Nb1 Nb 0.5052 0.0407 0.7585
Nb2 Nb 0.9918 0.5269 0.2370
O1 O 0.0579 0.5318 0.9946
O2 O 0.2134 0.7832 0.6991
O3 O 0.2159 0.7845 0.2977
O4 O 0.2996 0.3073 0.7018
O5 O 0.3009 0.3028 0.2937
O6 O 0.4269 0.0153 0.0014
O7 O 0.5687 0.9886 0.4956
O8 O 0.6973 0.7102 0.2268
O9 O 0.7017 0.7106 0.7673
O10 O 0.7912 0.2108 0.2146
O11 O 0.7969 0.2170 0.7858
O12 O 0.9090 0.4838 0.5013
```

No. 3
Theoretical powder XRD pattern
Compound: NaGd3Ti2Sb2O14
Radiation: Cu Ka
Structure: a crystal structure in Alexandria, relaxed with GGA-PBE
Lines closer than 0.1° are merged.

The 6 most intense peaks (10 to 90 degrees two-theta), in order of falling intensity:
(0 2 2), 29.86 deg, 2.992 Å, rel. 100
(0 0 4), 34.56 deg, 2.595 Å, rel. 41
(2 0 0), 29.68 deg, 3.010 Å, rel. 35
(4 0 -4), 49.57 deg, 1.839 Å, rel. 32
(2 2 -6), 49.80 deg, 1.831 Å, rel. 31
(4 2 -6), 59.05 deg, 1.564 Å, rel. 28

Crystal structure
```
data_NaGd3Ti2Sb2O14
_cell_length_a 7.3549
_cell_length_b 7.3270
_cell_length_c 12.6823
_cell_angle_alpha 90.00
_cell_angle_beta 125.08
_cell_angle_gamma 90.00
_space_group_name_H-M_alt 'P 1 2/c 1'
_space_group_IT_number 13
_space_group_name_Hall '-P 2yc'
loop_
_atom_site_label
_atom_site_type_symbol
_atom_site_fract_x
_atom_site_fract_y
_atom_site_fract_z
Na1 Na 0.0000 0.0000 0.0000
Gd1 Gd 0.0000 0.2455 0.2500
Gd2 Gd 0.0000 0.5000 0.0000
Gd3 Gd 0.5000 0.2286 0.2500
Ti1 Ti 0.5000 0.2628 0.7500
Ti2 Ti 0.5000 0.5000 0.0000
Sb1 Sb 0.0000 0.2543 0.7500
Sb2 Sb 0.5000 0.0000 0.0000
O1 O 0.1329 0.2600 0.1312
O2 O 0.1704 0.0450 0.8715
O3 O 0.1763 0.4549 0.8772
O4 O 0.1782 0.2684 0.6777
O5 O 0.4237 0.2505 0.4229
O6 O 0.4262 0.4462 0.6218
O7 O 0.4429 0.0512 0.6321
```

No. 4
Theoretical powder XRD pattern
Compound: Na2GdTa5O15
Radiation: Cu Ka
Structure: a crystal structure in Alexandria, relaxed with GGA-PBE
Lines closer than 0.1° are merged.

The 6 most intense peaks (10 to 90 degrees two-theta), in order of falling intensity:
(3 1 1), 31.97 deg, 2.799 Å, rel. 100
(0 0 1), 22.61 deg, 3.933 Å, rel. 68
(3 2 0), 25.48 deg, 3.495 Å, rel. 62
(5 5 1), 56.71 deg, 1.623 Å, rel. 62
(4 1 0), 29.22 deg, 3.056 Å, rel. 55
(4 2 0), 31.75 deg, 2.818 Å, rel. 53

Crystal structure
```
data_Na2GdTa5O15
_cell_length_a 12.6021
_cell_length_b 12.6021
_cell_length_c 3.9329
_cell_angle_alpha 90.00
_cell_angle_beta 90.00
_cell_angle_gamma 90.00
_space_group_name_H-M_alt 'P 4/m b m'
_space_group_IT_number 127
_space_group_name_Hall '-P 4 2ab'
loop_
_atom_site_label
_atom_site_type_symbol
_atom_site_fract_x
_atom_site_fract_y
_atom_site_fract_z
Na1 Na 0.1561 0.3439 0.0000
Gd1 Gd 0.0000 0.0000 0.0000
Ta1 Ta 0.0000 0.5000 0.5000
Ta2 Ta 0.0789 0.7884 0.5000
O1 O 0.0000 0.5000 0.0000
O2 O 0.0031 0.3415 0.5000
O3 O 0.0598 0.1311 0.5000
O4 O 0.0767 0.8090 0.0000
O5 O 0.2208 0.7208 0.5000
```

No. 5
Theoretical powder XRD pattern
Compound: Gd3NbO7
Radiation: Cu Ka
Structure: a crystal structure in Alexandria, relaxed with GGA-PBE
Lines closer than 0.1° are merged.

The 6 most intense peaks (10 to 90 degrees two-theta), in order of falling intensity:
(2 0 1), 28.68 deg, 3.113 Å, rel. 100
(0 4 1), 29.42 deg, 3.036 Å, rel. 94
(2 4 2), 48.12 deg, 1.891 Å, rel. 63
(2 4 0), 33.99 deg, 2.637 Å, rel. 42
(4 4 1), 57.19 deg, 1.611 Å, rel. 29
(2 8 1), 58.47 deg, 1.578 Å, rel. 26

Crystal structure
```
data_Gd3NbO7
_cell_length_a 7.6010
_cell_length_b 14.6496
_cell_length_c 5.4267
_cell_angle_alpha 90.00
_cell_angle_beta 90.00
_cell_angle_gamma 90.00
_space_group_name_H-M_alt 'C m m e'
_space_group_IT_number 67
_space_group_name_Hall '-C 2a 2'
loop_
_atom_site_label
_atom_site_type_symbol
_atom_site_fract_x
_atom_site_fract_y
_atom_site_fract_z
Gd1 Gd 0.0000 0.1189 0.0275
Gd2 Gd 0.2500 0.2500 0.5000
Nb1 Nb 0.2500 0.0000 0.5000
O1 O 0.0000 0.0117 0.2892
O2 O 0.0000 0.2500 0.2574
O3 O 0.2203 0.1183 0.7353
```

No. 6
Theoretical powder XRD pattern
Compound: Gd3NbO7
Radiation: Cu Ka
Structure: a crystal structure in Alexandria, relaxed with GGA-PBE
Lines closer than 0.1° are merged.

The 6 most intense peaks (10 to 90 degrees two-theta), in order of falling intensity:
(0 2 2), 28.85 deg, 3.095 Å, rel. 100
(2 2 0), 28.58 deg, 3.124 Å, rel. 100
(2 4 2), 47.84 deg, 1.901 Å, rel. 55
(2 0 2), 33.18 deg, 2.700 Å, rel. 45
(2 2 4), 56.82 deg, 1.620 Å, rel. 38
(0 4 0), 33.47 deg, 2.677 Å, rel. 21

Crystal structure
```
data_Gd3NbO7
_cell_length_a 7.6916
_cell_length_b 10.7085
_cell_length_c 7.5848
_cell_angle_alpha 90.00
_cell_angle_beta 90.00
_cell_angle_gamma 90.00
_space_group_name_H-M_alt 'C 2 2 21'
_space_group_IT_number 20
_space_group_name_Hall 'C 2c 2'
loop_
_atom_site_label
_atom_site_type_symbol
_atom_site_fract_x
_atom_site_fract_y
_atom_site_fract_z
Gd1 Gd 0.0390 0.0000 0.0000
Gd2 Gd 0.2326 0.2684 0.7607
Nb1 Nb 0.0026 0.5000 0.0000
O1 O 0.0000 0.1283 0.2500
O2 O 0.0000 0.1399 0.7500
O3 O 0.0000 0.4326 0.7500
O4 O 0.1742 0.3718 0.0472
O5 O 0.2063 0.3773 0.4782
```